Structure and simulated powder X-ray diffraction pattern of CeAl4Ni (a cell relaxed with GGA-PBE; λ = 1.5418 Å (Cu Kα)).
Neutral-atom scattering factors, no anomalous dispersion.

Largest 6 diffraction maxima, in order of rising 2θ, 2θ = 10–90°:
Position (°2θ), d_spacing, I_rel
17.6, 5.035, 573
30.8, 2.900, 864
35.3, 2.540, 1000
36.1, 2.487, 457
37.2, 2.418, 522
38.7, 2.327, 412

```
data_CeAl4Ni
_symmetry_space_group_name_H-M 'P 1'
_symmetry_Int_Tables_number 1
_cell_length_a 8.0656
_cell_length_b 8.0656
_cell_length_c 6.5947
_cell_angle_alpha 90.00
_cell_angle_beta 90.00
_cell_angle_gamma 150.40
loop_
_symmetry_equiv_pos_as_xyz
'x,y,z'
loop_
_atom_site_label
_atom_site_fract_x
_atom_site_fract_y
_atom_site_fract_z
Ce1 0.1145 0.8855 0.7500
Ce2 0.8855 0.1145 0.2500
Al1 0.0774 0.9226 0.2500
Al2 0.3108 0.6892 0.5525
Al3 0.3108 0.6892 0.9475
Al4 0.5000 0.5000 0.0000
Al5 0.5000 0.5000 0.5000
Al6 0.6892 0.3108 0.0525
Al7 0.6892 0.3108 0.4475
Al8 0.9226 0.0774 0.7500
Ni1 0.2260 0.7740 0.2500
Ni2 0.7740 0.2260 0.7500
```


Structure and simulated powder X-ray diffraction pattern of Ce3AlO (a cell relaxed with GGA-PBE; λ = 1.5418 Å (Cu Kα)).
Neutral-atom scattering factors, no anomalous dispersion.

Largest 6 diffraction maxima, in order of rising 2θ, 2θ = 10–90°:
Position (°2θ), d_spacing, I_rel
18.4, 4.827, 272
32.1, 2.787, 1000
37.3, 2.414, 583
53.7, 1.707, 400
64.0, 1.455, 417
88.2, 1.107, 179

```
data_Ce3AlO
_symmetry_space_group_name_H-M 'P 1'
_symmetry_Int_Tables_number 1
_cell_length_a 4.8271
_cell_length_b 4.8271
_cell_length_c 4.8271
_cell_angle_alpha 90.00
_cell_angle_beta 90.00
_cell_angle_gamma 90.00
loop_
_symmetry_equiv_pos_as_xyz
'x,y,z'
loop_
_atom_site_label
_atom_site_fract_x
_atom_site_fract_y
_atom_site_fract_z
Ce1 0.0000 0.0000 0.5000
Ce2 0.0000 0.5000 0.0000
Ce3 0.5000 0.0000 0.0000
Al1 0.5000 0.5000 0.5000
O1 0.0000 0.0000 0.0000
```


Structure and simulated powder X-ray diffraction pattern of CeAl8O16 (a cell relaxed with GGA-PBE; λ = 1.5418 Å (Cu Kα)).
Neutral-atom scattering factors, no anomalous dispersion.

Largest 6 diffraction maxima, in order of rising 2θ, 2θ = 10–90°:
Position (°2θ), d_spacing, I_rel
12.4, 7.124, 873
24.2, 3.676, 717
24.4, 3.646, 669
25.0, 3.561, 627
34.9, 2.569, 1000
35.1, 2.558, 699

```
data_CeAl8O16
_symmetry_space_group_name_H-M 'P 1'
_symmetry_Int_Tables_number 1
_cell_length_a 3.5903
_cell_length_b 3.6761
_cell_length_c 28.4942
_cell_angle_alpha 90.00
_cell_angle_beta 90.00
_cell_angle_gamma 90.00
loop_
_symmetry_equiv_pos_as_xyz
'x,y,z'
loop_
_atom_site_label
_atom_site_fract_x
_atom_site_fract_y
_atom_site_fract_z
Ce1 0.0000 0.0000 0.0000
Al1 0.5000 0.5000 0.0722
Al2 0.5000 0.5000 0.1940
Al3 0.5000 0.5000 0.3156
Al4 0.5000 0.5000 0.4388
Al5 0.5000 0.5000 0.5625
Al6 0.5000 0.5000 0.6849
Al7 0.5000 0.5000 0.8060
Al8 0.5000 0.5000 0.9277
O1 0.0000 0.5000 0.0614
O2 0.0000 0.5000 0.3137
O3 0.0000 0.5000 0.4385
O4 0.0000 0.5000 0.5620
O5 0.0000 0.5000 0.9385
O6 0.5000 0.0000 0.0604
O7 0.5000 0.0000 0.6876
O8 0.5000 0.0000 0.9395
O9 0.5000 0.5000 0.0000
O10 0.5000 0.5000 0.1371
O11 0.5000 0.5000 0.2511
O12 0.5000 0.5000 0.3770
O13 0.5000 0.5000 0.5006
O14 0.5000 0.5000 0.6242
O15 0.5000 0.5000 0.7486
O16 0.5000 0.5000 0.8626
```


Structure and simulated powder X-ray diffraction pattern of SrCeAlO4 (a cell relaxed with GGA-PBE; λ = 1.5418 Å (Cu Kα)).
Neutral-atom scattering factors, no anomalous dispersion.

Largest 6 diffraction maxima, in order of rising 2θ, 2θ = 10–90°:
Position (°2θ), d_spacing, I_rel
24.7, 3.605, 522
32.1, 2.792, 1000
33.7, 2.662, 712
44.7, 2.026, 509
48.4, 1.882, 386
59.2, 1.561, 403

```
data_SrCeAlO4
_symmetry_space_group_name_H-M 'P 1'
_symmetry_Int_Tables_number 1
_cell_length_a 3.7647
_cell_length_b 3.7647
_cell_length_c 12.4913
_cell_angle_alpha 90.00
_cell_angle_beta 90.00
_cell_angle_gamma 90.00
loop_
_symmetry_equiv_pos_as_xyz
'x,y,z'
loop_
_atom_site_label
_atom_site_fract_x
_atom_site_fract_y
_atom_site_fract_z
Sr1 0.0000 0.0000 0.0000
Sr2 0.5000 0.5000 0.5000
Ce1 0.0000 0.0000 0.7136
Ce2 0.5000 0.5000 0.2136
Al1 0.0000 0.0000 0.3600
Al2 0.5000 0.5000 0.8600
O1 0.0000 0.0000 0.1960
O2 0.0000 0.0000 0.5233
O3 0.0000 0.5000 0.3521
O4 0.0000 0.5000 0.8521
O5 0.5000 0.0000 0.3521
O6 0.5000 0.0000 0.8521
O7 0.5000 0.5000 0.0233
O8 0.5000 0.5000 0.6960
```